No. 1
# PmCd9Rh3
Theoretical powder X-ray diffraction pattern, copper Kα. Input: a structure optimized by DFT (GGA-PBE).
Intensities are scaled so that the largest is 100.

The 8 most intense peaks (10 to 80 degrees two-theta), sorted by position:
2θ (°), d (Å), I_rel
31.9, 2.806, 20
32.0, 2.796, 20
36.2, 2.479, 26
36.4, 2.469, 33
36.9, 2.436, 20
37.5, 2.401, 100
40.7, 2.218, 21
41.2, 2.189, 30

Structural model:
```
13
Lattice="2.8864 -6.7167 0.0000 2.8864 6.7167 0.0000 -2.8419 0.0000 6.8772" Properties=species:S:1:pos:R:3 pbc="T T T"
Pm 0.0000 0.0000 0.0000
Cd 0.1156 4.3883 4.6168
Cd 0.0116 1.4869 5.4079
Cd 2.8153 4.3883 2.2604
Cd 0.0116 -1.4869 5.4079
Cd 1.4655 0.0000 3.4386
Cd 2.9193 1.4869 1.4693
Cd 0.1156 -4.3883 4.6168
Cd 2.9193 -1.4869 1.4693
Cd 2.8153 -4.3883 2.2604
Rh -1.4210 0.0000 3.4386
Rh 1.4432 3.3584 0.0000
Rh 1.4432 -3.3584 0.0000
```

No. 2
# Pm7Cd2Ru2
Theoretical powder X-ray diffraction pattern, copper Kα. Input: a structure optimized by DFT (GGA-PBE).
Intensities are scaled so that the largest is 100.

The 8 most intense peaks (10 to 80 degrees two-theta), sorted by position:
2θ (°), d (Å), I_rel
28.0, 3.192, 32
29.9, 2.991, 43
31.8, 2.811, 74
32.0, 2.794, 24
32.7, 2.735, 100
33.6, 2.670, 52
46.8, 1.943, 27
57.7, 1.598, 31

Structural model:
```
11
Lattice="-1.9428 8.3820 4.8795 1.9428 -8.3820 4.8795 1.9428 8.3820 -4.8795" Properties=species:S:1:pos:R:3 pbc="T T T"
Pm 0.0000 0.0000 0.0000
Pm 1.9428 6.0957 -0.7222
Pm 1.9428 3.0093 1.2042
Pm 0.0000 2.2863 4.1574
Pm 0.0000 5.8351 2.5887
Pm 0.0000 10.9289 2.5887
Pm 0.0000 5.3727 6.0838
Cd 1.9428 0.0000 2.6851
Cd 0.0000 0.0000 6.5006
Ru 1.9428 -4.3562 4.2177
Ru 1.9428 4.3562 4.2177
```

No. 3
# Pm3CdS6
Theoretical powder X-ray diffraction pattern, copper Kα. Input: a structure optimized by DFT (GGA-PBE).
Intensities are scaled so that the largest is 100.

The 8 most intense peaks (10 to 80 degrees two-theta), sorted by position:
2θ (°), d (Å), I_rel
24.7, 3.601, 100
25.3, 3.524, 74
34.4, 2.607, 18
36.5, 2.462, 38
37.7, 2.389, 22
42.1, 2.147, 40
47.3, 1.923, 16
48.2, 1.888, 31

Structural model:
```
20
Lattice="5.4805 -6.6353 0.0000 5.4805 6.6353 0.0000 0.0000 0.0000 6.8832" Properties=species:S:1:pos:R:3 pbc="T T T"
Pm 5.4805 5.3013 3.4416
Pm 3.4813 1.3142 2.8117
Pm 3.4813 -1.3142 6.2534
Pm 7.4797 1.3142 2.8117
Pm 7.4797 -1.3142 6.2534
Pm 5.4805 -5.3013 0.0000
Cd 5.4805 2.6578 6.1051
Cd 5.4805 -2.6578 2.6634
S 3.5480 3.5779 4.6799
S 1.7763 0.4236 4.8555
S 1.7763 -0.4236 1.4139
S 5.4805 2.9939 1.6978
S 7.4130 3.5779 4.6799
S 5.4805 0.3918 4.8430
S 5.4805 -0.3918 1.4013
S 3.5480 -3.5779 1.2382
S 5.4805 -2.9939 5.1394
S 9.1847 0.4236 4.8555
S 9.1847 -0.4236 1.4139
S 7.4130 -3.5779 1.2382
```